[1]
# Cs2ZrPdCl6
Simulated PXRD pattern, Cu Ka. Input: a crystal structure in Alexandria, relaxed with PBE.

Crystal structure
```
Cs2ZrPdCl6
1.0
-4.051 4.051 4.846
4.051 -4.051 4.846
4.051 4.051 -4.846
Cs Zr Pd Cl
2 1 1 6
Cartesian
4.051 0.000 2.423 Cs
0.000 4.051 2.423 Cs
0.000 0.000 0.000 Zr
0.000 0.000 4.846 Pd
1.778 1.778 0.000 Cl
2.273 -2.273 4.846 Cl
0.000 0.000 2.491 Cl
0.000 0.000 7.202 Cl
-2.273 2.273 4.846 Cl
2.273 2.273 4.846 Cl
```

The 6 most intense peaks (10 to 90 degrees two-theta), in order of rising 2θ:
d [Å]	Rel. int.
4.051	64
3.700	100
3.108	30
2.865	72
2.265	48
1.850	37

=====

[2]
# CsPm2Cl8
Simulated PXRD pattern, Cu Ka. Input: a crystal structure in Alexandria, relaxed with PBE.

Crystal structure
```
CsPm2Cl8
1.0
4.301 -7.096 0.000
4.301 7.096 0.000
0.000 0.000 5.346
Cs Pm Cl
1 2 8
Cartesian
0.000 0.000 0.000 Cs
4.301 2.809 2.673 Pm
4.301 -2.809 2.673 Pm
1.661 1.965 2.673 Cl
4.301 3.355 0.000 Cl
1.661 -1.965 2.673 Cl
4.301 0.000 1.331 Cl
4.301 0.000 4.015 Cl
6.941 1.965 2.673 Cl
4.301 -3.355 0.000 Cl
6.941 -1.965 2.673 Cl
```

The 6 most intense peaks (10 to 90 degrees two-theta), in order of rising 2θ:
d [Å]	Rel. int.
4.324	63
4.301	100
4.270	91
4.145	63
2.737	59
2.407	69

=====

[3]
# Cs5Pm2Cl12
Simulated PXRD pattern, Cu Ka. Input: a crystal structure in Alexandria, relaxed with PBE.

Crystal structure
```
Cs5Pm2Cl12
1.0
8.352 -5.243 0.000
8.352 5.243 0.000
-1.532 0.000 8.378
Cs Pm Cl
5 2 12
Cartesian
0.000 0.000 0.000 Cs
3.410 0.000 3.886 Cs
4.453 0.000 8.100 Cs
10.720 0.000 0.278 Cs
11.762 0.000 4.492 Cs
7.586 2.849 4.189 Pm
7.586 -2.849 4.189 Pm
0.280 0.000 5.406 Cl
5.546 3.015 6.080 Cl
5.666 2.112 2.330 Cl
9.626 3.015 2.298 Cl
9.506 2.112 6.048 Cl
6.752 0.000 5.175 Cl
8.420 0.000 3.203 Cl
5.666 -2.112 2.330 Cl
5.546 -3.015 6.080 Cl
9.506 -2.112 6.048 Cl
9.626 -3.015 2.298 Cl
14.892 0.000 2.971 Cl
```

The 6 most intense peaks (10 to 90 degrees two-theta), in order of rising 2θ:
d [Å]	Rel. int.
8.378	70
4.075	81
3.937	64
3.454	88
2.699	100
2.622	58

=====

[4]
# CsPrSeCl2
Simulated PXRD pattern, Cu Ka. Input: a crystal structure in Alexandria, relaxed with PBE.

Crystal structure
```
CsPrSeCl2
1.0
2.172 -9.657 0.000
2.172 9.657 0.000
0.000 0.000 8.585
Cs Pr Se Cl
2 2 2 4
Cartesian
2.172 5.578 6.439 Cs
2.172 -5.578 2.146 Cs
2.172 0.000 0.000 Pr
2.172 0.000 4.292 Pr
2.172 9.523 6.439 Se
2.172 -9.523 2.146 Se
2.172 2.746 4.413 Cl
2.172 2.746 8.464 Cl
2.172 -2.746 0.121 Cl
2.172 -2.746 4.171 Cl
```

The 6 most intense peaks (10 to 90 degrees two-theta), in order of rising 2θ:
d [Å]	Rel. int.
4.828	40
3.922	25
3.800	33
3.217	22
3.015	100
2.395	55

=====

[5]
# CsPt2Cl8
Simulated PXRD pattern, Cu Ka. Input: a crystal structure in Alexandria, relaxed with PBE.

Crystal structure
```
CsPt2Cl8
1.0
5.274 0.000 0.000
-0.031 7.114 0.000
-2.588 -1.655 8.684
Cs Pt Cl
1 2 8
Cartesian
0.000 0.000 0.000 Cs
0.011 1.991 5.374 Pt
2.644 3.469 3.309 Pt
0.007 3.354 3.411 Cl
0.014 0.105 4.078 Cl
0.014 3.921 6.662 Cl
0.016 0.695 7.282 Cl
2.639 4.764 1.402 Cl
2.641 1.538 2.022 Cl
2.640 5.355 4.606 Cl
2.648 2.106 5.273 Cl
```

The 6 most intense peaks (10 to 90 degrees two-theta), in order of rising 2θ:
d [Å]	Rel. int.
8.684	81
6.989	58
5.006	100
4.212	54
4.190	54
2.637	55

=====

[6]
# CsPtCl5
Simulated PXRD pattern, Cu Ka. Input: a crystal structure in Alexandria, relaxed with PBE.

Crystal structure
```
CsPtCl5
1.0
6.189 -3.800 0.000
6.189 3.800 0.000
-4.119 0.000 9.233
Cs Pt Cl
2 2 10
Cartesian
5.159 3.799 2.308 Cs
3.099 -3.799 6.925 Cs
6.189 0.000 0.000 Pt
4.129 0.000 4.617 Pt
0.574 1.648 8.569 Cl
2.626 1.636 3.942 Cl
5.625 1.648 5.281 Cl
7.692 1.636 0.675 Cl
3.099 0.008 6.925 Cl
5.159 -0.008 2.308 Cl
0.567 -1.636 8.558 Cl
2.634 -1.648 3.952 Cl
5.632 -1.636 5.292 Cl
7.684 -1.648 0.665 Cl
```

The 6 most intense peaks (10 to 90 degrees two-theta), in order of rising 2θ:
d [Å]	Rel. int.
5.652	100
4.209	98
3.376	89
3.153	74
2.267	50
2.103	42

=====

[7]
# Cs6PtCl
Simulated PXRD pattern, Cu Ka. Input: a crystal structure in Alexandria, relaxed with PBE.

Crystal structure
```
Cs6PtCl
1.0
8.923 0.000 0.000
-4.461 7.727 0.000
0.000 0.000 16.560
Cs Pt Cl
12 2 2
Cartesian
-1.215 2.672 2.118 Cs
-2.755 5.339 6.162 Cs
1.215 2.672 6.162 Cs
-1.540 7.443 2.118 Cs
2.922 0.284 10.398 Cs
1.707 2.388 14.442 Cs
2.755 5.339 2.118 Cs
1.540 7.443 6.162 Cs
6.001 0.284 14.442 Cs
3.246 5.055 10.398 Cs
7.216 2.388 10.398 Cs
5.676 5.055 14.442 Cs
0.000 5.151 4.140 Pt
4.461 2.576 12.420 Pt
0.000 0.000 0.000 Cl
0.000 0.000 8.280 Cl
```

The 6 most intense peaks (10 to 90 degrees two-theta), in order of rising 2θ:
d [Å]	Rel. int.
7.002	44
3.928	100
3.035	44
2.577	40
2.347	26
2.154	15

=====

[8]
# Cs3Pt2Cl9
Simulated PXRD pattern, Cu Ka. Input: a crystal structure in Alexandria, relaxed with PBE.

Crystal structure
```
Cs3Pt2Cl9
1.0
7.414 0.000 0.000
-3.707 6.421 0.000
0.000 0.000 18.857
Cs Pt Cl
6 4 18
Cartesian
0.000 0.000 4.714 Cs
0.000 0.000 14.143 Cs
0.000 4.280 1.272 Cs
0.000 4.280 8.157 Cs
3.707 2.140 10.701 Cs
3.707 2.140 17.585 Cs
0.000 4.280 12.569 Pt
0.000 4.280 15.717 Pt
3.707 2.140 3.140 Pt
3.707 2.140 6.289 Pt
-1.682 3.309 14.143 Cl
0.000 2.299 11.217 Cl
0.000 2.299 17.069 Cl
-1.716 5.271 11.217 Cl
-1.716 5.271 17.069 Cl
1.991 1.149 1.788 Cl
1.991 1.149 7.640 Cl
1.682 3.309 14.143 Cl
0.000 6.222 14.143 Cl
3.707 0.198 4.714 Cl
2.025 3.111 4.714 Cl
1.716 5.271 11.217 Cl
1.716 5.271 17.069 Cl
5.423 1.149 1.788 Cl
5.423 1.149 7.640 Cl
3.707 4.122 1.788 Cl
3.707 4.122 7.640 Cl
5.389 3.111 4.714 Cl
```

The 6 most intense peaks (10 to 90 degrees two-theta), in order of rising 2θ:
d [Å]	Rel. int.
6.421	36
6.078	91
3.707	100
3.252	66
2.445	39
2.041	44